(1)
# Ce3Si2Pt
Computed PXRD pattern, Cu Ka. Input: a DFT-relaxed cell (GGA-PBE, Alexandria).
Intensities are scaled so that the largest is 100.

Cell and atoms:
```
Ce3Si2Pt
1.0
12.1749 0.0000 0.0000
0.0000 4.2145 0.0000
0.0000 0.0000 10.3692
Ce Si Pt
12 8 4
Direct
0.0426 0.2500 0.0850
0.1283 0.7500 0.5739
0.2185 0.2500 0.7654
0.2815 0.7500 0.2654
0.3717 0.2500 0.0739
0.4574 0.7500 0.5850
0.5426 0.2500 0.4150
0.6283 0.7500 0.9261
0.7185 0.2500 0.7346
0.7815 0.7500 0.2346
0.8717 0.2500 0.4261
0.9574 0.7500 0.9150
0.0219 0.7500 0.2975
0.2021 0.7500 0.9822
0.2979 0.2500 0.4822
0.4781 0.2500 0.7975
0.5219 0.7500 0.2025
0.7021 0.7500 0.5178
0.7979 0.2500 0.0178
0.9781 0.2500 0.7025
0.1232 0.2500 0.3534
0.3768 0.7500 0.8534
0.6232 0.2500 0.1466
0.8768 0.7500 0.6466
```

Top 12 peaks for 2θ = 10–80°, in order of rising 2θ:
3.779 Å, 23.54°, I 45; 3.286 Å, 27.13°, I 34; 2.881 Å, 31.04°, I 25; 2.673 Å, 33.53°, I 100; 2.546 Å, 35.25°, I 69; 2.535 Å, 35.40°, I 19; 2.400 Å, 37.47°, I 52; 2.230 Å, 40.45°, I 34; 2.107 Å, 42.92°, I 43; 1.953 Å, 46.49°, I 19; 1.389 Å, 67.45°, I 21; 1.256 Å, 75.73°, I 22



(2)
# Ce3Si6Pt20
Computed PXRD pattern, Cu Ka. Input: a DFT-relaxed cell (GGA-PBE, Alexandria).
Intensities are scaled so that the largest is 100.

Cell and atoms:
```
Ce3Si6Pt20
1.0
0.0000 6.2189 6.2189
6.2189 0.0000 6.2189
6.2189 6.2189 0.0000
Ce Si Pt
3 6 20
Direct
0.0000 0.0000 0.0000
0.2500 0.2500 0.2500
0.7500 0.7500 0.7500
0.2669 0.2669 0.7331
0.2669 0.7331 0.2669
0.2669 0.7331 0.7331
0.7331 0.2669 0.2669
0.7331 0.2669 0.7331
0.7331 0.7331 0.2669
0.0000 0.0000 0.3459
0.0000 0.0000 0.6541
0.0000 0.3459 0.0000
0.0000 0.3459 0.6541
0.0000 0.6541 0.0000
0.0000 0.6541 0.3459
0.1529 0.6157 0.6157
0.3459 0.0000 0.0000
0.3459 0.0000 0.6541
0.3459 0.6541 0.0000
0.3843 0.3843 0.3843
0.3843 0.3843 0.8471
0.3843 0.8471 0.3843
0.6157 0.1529 0.6157
0.6157 0.6157 0.1529
0.6157 0.6157 0.6157
0.6541 0.0000 0.0000
0.6541 0.0000 0.3459
0.6541 0.3459 0.0000
0.8471 0.3843 0.3843
```

Top 12 peaks for 2θ = 10–80°, in order of rising 2θ:
2.781 Å, 32.19°, I 21; 2.539 Å, 35.35°, I 20; 2.394 Å, 37.58°, I 100; 2.199 Å, 41.05°, I 21; 2.102 Å, 43.02°, I 34; 2.073 Å, 43.66°, I 13; 1.875 Å, 48.55°, I 8; 1.466 Å, 63.46°, I 25; 1.436 Å, 64.93°, I 14; 1.365 Å, 68.76°, I 9; 1.269 Å, 74.79°, I 16; 1.250 Å, 76.15°, I 10



(3)
# CeSiPt
Computed PXRD pattern, Cu Ka. Input: a DFT-relaxed cell (GGA-PBE, Alexandria).
Intensities are scaled so that the largest is 100.

Cell and atoms:
```
CeSiPt
1.0
4.1248 0.0000 0.0000
0.0000 4.1248 0.0000
0.0000 0.0000 14.7540
Ce Si Pt
4 4 4
Direct
0.0000 0.0000 0.0000
0.0000 0.5000 0.2500
0.5000 0.0000 0.7500
0.5000 0.5000 0.5000
0.0000 0.0000 0.5813
0.0000 0.5000 0.8313
0.5000 0.0000 0.3313
0.5000 0.5000 0.0813
0.0000 0.0000 0.4163
0.0000 0.5000 0.6663
0.5000 0.0000 0.1663
0.5000 0.5000 0.9163
```

Top 12 peaks for 2θ = 10–80°, in order of rising 2θ:
3.972 Å, 22.38°, I 15; 3.688 Å, 24.13°, I 13; 3.160 Å, 28.24°, I 42; 2.712 Å, 33.02°, I 100; 2.400 Å, 37.47°, I 50; 2.062 Å, 43.90°, I 36; 1.877 Å, 48.49°, I 27; 1.727 Å, 53.02°, I 15; 1.564 Å, 59.06°, I 27; 1.458 Å, 63.83°, I 12; 1.388 Å, 67.47°, I 18; 1.284 Å, 73.77°, I 20



(4)
# TbCeSi2Pt2
Computed PXRD pattern, Cu Ka. Input: a DFT-relaxed cell (GGA-PBE, Alexandria).
Intensities are scaled so that the largest is 100.

Cell and atoms:
```
TbCeSi2Pt2
1.0
4.2179 0.0000 0.0000
-2.1090 3.6528 0.0000
0.0000 0.0000 7.9479
Tb Ce Si Pt
1 1 2 2
Direct
0.0000 0.0000 0.0000
0.0000 0.0000 0.5000
0.3333 0.6667 0.7464
0.6667 0.3333 0.2536
0.3333 0.6667 0.2400
0.6667 0.3333 0.7600
```

Top 12 peaks for 2θ = 10–80°, in order of rising 2θ:
3.319 Å, 26.86°, I 51; 2.689 Å, 33.32°, I 100; 2.145 Å, 42.13°, I 16; 2.109 Å, 42.88°, I 51; 1.987 Å, 45.66°, I 14; 1.780 Å, 51.33°, I 9; 1.660 Å, 55.36°, I 24; 1.446 Å, 64.43°, I 29; 1.360 Å, 69.05°, I 7; 1.304 Å, 72.47°, I 21; 1.245 Å, 76.50°, I 9; 1.218 Å, 78.57°, I 9



(5)
# Ce3Sm2Pt4
Computed PXRD pattern, Cu Ka. Input: a DFT-relaxed cell (GGA-PBE, Alexandria).
Intensities are scaled so that the largest is 100.

Cell and atoms:
```
Ce3Sm2Pt4
1.0
8.0656 0.0000 0.0000
0.0000 7.6987 0.0000
-2.5657 0.0000 7.0462
Ce Sm Pt
6 4 8
Direct
0.0000 0.0000 0.0000
0.0000 0.5000 0.5000
0.2612 0.1621 0.7590
0.2612 0.3379 0.2590
0.7388 0.6621 0.7410
0.7388 0.8379 0.2410
0.3104 0.6783 0.9325
0.3104 0.8217 0.4325
0.6896 0.1783 0.5675
0.6896 0.3217 0.0675
0.0020 0.6340 0.1335
0.0020 0.8660 0.6335
0.4237 0.0424 0.1605
0.4237 0.4576 0.6605
0.5763 0.5424 0.3395
0.5763 0.9576 0.8395
0.9980 0.1340 0.3665
0.9980 0.3660 0.8665
```

Top 12 peaks for 2θ = 10–80°, in order of rising 2θ:
2.938 Å, 30.42°, I 34; 2.913 Å, 30.69°, I 23; 2.755 Å, 32.50°, I 100; 2.700 Å, 33.17°, I 27; 2.670 Å, 33.56°, I 95; 2.526 Å, 35.54°, I 24; 2.497 Å, 35.96°, I 19; 2.411 Å, 37.29°, I 37; 2.376 Å, 37.86°, I 79; 2.338 Å, 38.50°, I 13; 2.075 Å, 43.61°, I 15; 1.856 Å, 49.07°, I 23



(6)
# Ce3Sn4Pt3
Computed PXRD pattern, Cu Ka. Input: a DFT-relaxed cell (GGA-PBE, Alexandria).
Intensities are scaled so that the largest is 100.

Cell and atoms:
```
Ce3Sn4Pt3
1.0
-4.9497 4.9497 4.9497
4.9497 -4.9497 4.9497
4.9497 4.9497 -4.9497
Ce Sn Pt
6 8 6
Direct
0.1250 0.8750 0.2500
0.2500 0.1250 0.8750
0.3750 0.6250 0.7500
0.6250 0.7500 0.3750
0.7500 0.3750 0.6250
0.8750 0.2500 0.1250
0.0000 0.1693 0.5000
0.0000 0.6693 0.5000
0.1693 0.5000 0.0000
0.3307 0.3307 0.3307
0.5000 0.0000 0.1693
0.5000 0.0000 0.6693
0.6693 0.5000 0.0000
0.8307 0.8307 0.8307
0.1250 0.7500 0.8750
0.2500 0.6250 0.3750
0.3750 0.2500 0.6250
0.6250 0.3750 0.2500
0.7500 0.8750 0.1250
0.8750 0.1250 0.7500
```

Top 12 peaks for 2θ = 10–80°, in order of rising 2θ:
4.041 Å, 21.99°, I 28; 2.646 Å, 33.88°, I 100; 2.214 Å, 40.76°, I 48; 2.111 Å, 42.85°, I 10; 2.021 Å, 44.85°, I 14; 1.941 Å, 46.79°, I 16; 1.807 Å, 50.50°, I 14; 1.565 Å, 59.01°, I 12; 1.460 Å, 63.77°, I 10; 1.429 Å, 65.30°, I 11; 1.373 Å, 68.33°, I 10; 1.347 Å, 69.82°, I 14



(7)
# Ce4Sn8Pt
Computed PXRD pattern, Cu Ka. Input: a DFT-relaxed cell (GGA-PBE, Alexandria).
Intensities are scaled so that the largest is 100.

Cell and atoms:
```
Ce4Sn8Pt
1.0
4.4692 0.0000 0.0000
0.0000 4.5323 0.0000
0.0000 0.0000 17.2407
Ce Sn Pt
4 8 1
Direct
0.0000 0.0000 0.0000
0.0000 0.5000 0.4835
0.5000 0.0000 0.7851
0.5000 0.5000 0.2886
0.0000 0.0000 0.3220
0.0000 0.0000 0.6198
0.0000 0.5000 0.1442
0.0000 0.5000 0.8573
0.5000 0.0000 0.1460
0.5000 0.0000 0.4421
0.5000 0.5000 0.6182
0.5000 0.5000 0.9705
0.0000 0.5000 0.7055
```

Top 12 peaks for 2θ = 10–80°, in order of rising 2θ:
2.873 Å, 31.13°, I 12; 2.784 Å, 32.15°, I 100; 2.744 Å, 32.63°, I 10; 2.560 Å, 35.05°, I 11; 2.417 Å, 37.20°, I 13; 2.266 Å, 39.78°, I 23; 2.235 Å, 40.36°, I 22; 1.764 Å, 51.82°, I 11; 1.654 Å, 55.58°, I 11; 1.591 Å, 57.96°, I 16; 1.389 Å, 67.44°, I 12; 1.374 Å, 68.25°, I 12